No. 1
# MnP2O6
Theoretical powder diffraction line list, Cu Kα. Input: a PBE+U-relaxed structure.

Structural model:
```
data_MnP2O6
_space_group_name_H-M_alt 'C 1 2/c 1'
_space_group_IT_number 15
_cell_length_a 12.253
_cell_length_b 8.586
_cell_length_c 10.324
_cell_angle_alpha 90.00
_cell_angle_beta 119.19
_cell_angle_gamma 90.00
loop_
_space_group_symop_operation_xyz
'x,y,z'
'-x,-y,-z'
'-x,y,-z+1/2'
'x,-y,z+1/2'
'x+1/2,y+1/2,z'
'-x+1/2,-y+1/2,-z'
'-x+1/2,y+1/2,-z+1/2'
'x+1/2,-y+1/2,z+1/2'
loop_
_atom_site_label
_atom_site_fract_x
_atom_site_fract_y
_atom_site_fract_z
Mn1 0.000 0.042 0.250
Mn2 0.250 0.250 0.500
P1 0.009 0.267 0.977
P2 0.193 0.494 0.194
O1 0.037 0.130 0.911
O2 0.046 0.241 0.420
O3 0.082 0.383 0.656
O4 0.134 0.369 0.060
O5 0.205 0.076 0.324
O6 0.226 0.422 0.339
```

Principal peaks in the range 2θ from 15° to 90°, low angle first:
| d_spacing | two_theta | Rel. int. |
| --- | --- | --- |
| 4.415 | 20.1 | 42 |
| 3.672 | 24.2 | 20 |
| 3.517 | 25.3 | 30 |
| 3.293 | 27.1 | 32 |
| 3.108 | 28.7 | 100 |
| 2.989 | 29.9 | 20 |
| 2.674 | 33.5 | 22 |
| 2.482 | 36.2 | 22 |
| 2.176 | 41.5 | 19 |
| 1.674 | 54.8 | 14 |

***

No. 2
# KGd2CuMo4O16
Theoretical powder diffraction line list, Cu Kα. Input: a PBE+U-relaxed structure.

Structural model:
```
data_KGd2CuMo4O16
_space_group_name_H-M_alt 'C 1 2/c 1'
_space_group_IT_number 15
_cell_length_a 5.347
_cell_length_b 12.844
_cell_length_c 19.791
_cell_angle_alpha 90.00
_cell_angle_beta 93.35
_cell_angle_gamma 90.00
loop_
_space_group_symop_operation_xyz
'x,y,z'
'-x,-y,-z'
'-x,y,-z+1/2'
'x,-y,z+1/2'
'x+1/2,y+1/2,z'
'-x+1/2,-y+1/2,-z'
'-x+1/2,y+1/2,-z+1/2'
'x+1/2,-y+1/2,z+1/2'
loop_
_atom_site_label
_atom_site_fract_x
_atom_site_fract_y
_atom_site_fract_z
K1 0.000 0.030 0.250
Gd1 0.001 0.147 0.467
Cu1 0.000 0.309 0.250
Mo1 0.011 0.258 0.647
Mo2 0.015 0.438 0.092
O1 0.101 0.407 0.328
O2 0.122 0.139 0.828
O3 0.159 0.332 0.042
O4 0.176 0.239 0.567
O5 0.224 0.453 0.600
O6 0.234 0.296 0.713
O7 0.237 0.020 0.539
O8 0.248 0.348 0.869
```

Principal peaks in the range 2θ from 15° to 90°, low angle first:
| d_spacing | two_theta | Rel. int. |
| --- | --- | --- |
| 3.587 | 24.8 | 35 |
| 3.399 | 26.2 | 35 |
| 3.273 | 27.2 | 37 |
| 3.199 | 27.9 | 54 |
| 3.167 | 28.2 | 100 |
| 3.129 | 28.5 | 47 |
| 3.023 | 29.5 | 38 |
| 3.005 | 29.7 | 73 |
| 2.933 | 30.5 | 49 |
| 2.669 | 33.6 | 56 |

***

No. 3
# Li2MnF4
Theoretical powder diffraction line list, Cu Kα. Input: a PBE+U-relaxed structure.

Structural model:
```
data_Li2MnF4
_space_group_name_H-M_alt 'P 1 21/c 1'
_space_group_IT_number 14
_cell_length_a 5.972
_cell_length_b 5.386
_cell_length_c 5.519
_cell_angle_alpha 90.00
_cell_angle_beta 115.27
_cell_angle_gamma 90.00
loop_
_space_group_symop_operation_xyz
'x,y,z'
'-x,-y,-z'
'-x,y+1/2,-z+1/2'
'x,-y+1/2,z+1/2'
loop_
_atom_site_label
_atom_site_fract_x
_atom_site_fract_y
_atom_site_fract_z
Li1 0.153 0.034 0.378
Mn1 0.500 0.000 0.000
F1 0.151 0.148 0.720
F2 0.374 0.658 0.776
```

Principal peaks in the range 2θ from 15° to 90°, low angle first:
| d_spacing | two_theta | Rel. int. |
| --- | --- | --- |
| 5.401 | 16.4 | 100 |
| 3.661 | 24.3 | 42 |
| 3.598 | 24.7 | 83 |
| 2.667 | 33.6 | 42 |
| 2.416 | 37.2 | 62 |
| 2.370 | 38.0 | 36 |
| 1.907 | 47.7 | 45 |
| 1.830 | 49.8 | 21 |
| 1.708 | 53.7 | 22 |
| 1.535 | 60.3 | 30 |

***

No. 4
# Li8Mn5Fe3B8O24
Theoretical powder diffraction line list, Cu Kα. Input: a PBE+U-relaxed structure.

Structural model:
```
data_Li8Mn5Fe3B8O24
_space_group_name_H-M_alt 'P 1'
_space_group_IT_number 1
_cell_length_a 5.243
_cell_length_b 6.028
_cell_length_c 16.186
_cell_angle_alpha 81.79
_cell_angle_beta 88.78
_cell_angle_gamma 89.20
loop_
_space_group_symop_operation_xyz
'x,y,z'
loop_
_atom_site_label
_atom_site_fract_x
_atom_site_fract_y
_atom_site_fract_z
Li1 0.000 0.000 0.000
Li2 0.000 0.499 0.501
Li3 0.197 0.377 0.031
Li4 0.199 0.876 0.531
Li5 0.500 0.253 0.250
Li6 0.500 0.752 0.751
Li7 0.695 0.128 0.781
Li8 0.695 0.629 0.280
Mn1 0.016 0.089 0.181
Mn2 0.016 0.587 0.680
Mn3 0.180 0.288 0.851
Mn4 0.180 0.788 0.352
Mn5 0.518 0.337 0.432
Fe1 0.515 0.836 0.934
Fe2 0.686 0.537 0.099
Fe3 0.687 0.037 0.601
B1 0.020 0.281 0.343
B2 0.021 0.780 0.844
B3 0.175 0.601 0.187
B4 0.176 0.100 0.687
B5 0.519 0.027 0.093
B6 0.522 0.528 0.594
B7 0.677 0.351 0.939
B8 0.677 0.848 0.440
O1 0.028 0.233 0.734
O2 0.029 0.734 0.234
O3 0.053 0.486 0.130
O4 0.056 0.986 0.629
O5 0.135 0.397 0.400
O6 0.145 0.896 0.900
O7 0.167 0.644 0.797
O8 0.171 0.144 0.298
O9 0.260 0.051 0.079
O10 0.263 0.551 0.579
O11 0.435 0.075 0.700
O12 0.435 0.576 0.199
O13 0.526 0.485 0.986
O14 0.528 0.984 0.486
O15 0.562 0.237 0.881
O16 0.563 0.732 0.382
O17 0.635 0.647 0.651
O18 0.636 0.143 0.150
O19 0.667 0.891 0.046
O20 0.672 0.391 0.549
O21 0.761 0.303 0.328
O22 0.761 0.805 0.832
O23 0.935 0.327 0.954
O24 0.936 0.825 0.454
```

Principal peaks in the range 2θ from 15° to 90°, low angle first:
| d_spacing | two_theta | Rel. int. |
| --- | --- | --- |
| 4.347 | 20.4 | 81 |
| 4.004 | 22.2 | 33 |
| 3.946 | 22.5 | 60 |
| 2.673 | 33.5 | 100 |
| 2.635 | 34.0 | 33 |
| 2.621 | 34.2 | 25 |
| 2.581 | 34.8 | 30 |
| 2.359 | 38.1 | 24 |
| 2.246 | 40.1 | 26 |
| 2.213 | 40.8 | 55 |

***

No. 5
# Li9Mn2Co5O16
Theoretical powder diffraction line list, Cu Kα. Input: a PBE+U-relaxed structure.

Structural model:
```
data_Li9Mn2Co5O16
_space_group_name_H-M_alt 'P 1'
_space_group_IT_number 1
_cell_length_a 5.074
_cell_length_b 5.735
_cell_length_c 10.295
_cell_angle_alpha 90.41
_cell_angle_beta 97.93
_cell_angle_gamma 106.23
loop_
_space_group_symop_operation_xyz
'x,y,z'
loop_
_atom_site_label
_atom_site_fract_x
_atom_site_fract_y
_atom_site_fract_z
Li1 0.000 0.000 0.000
Li2 0.001 0.247 0.242
Li3 0.002 0.746 0.760
Li4 0.004 0.499 0.998
Li5 0.006 0.754 0.238
Li6 0.012 0.254 0.763
Li7 0.503 0.875 0.123
Li8 0.997 0.497 0.505
Li9 0.999 0.002 0.502
Mn1 0.500 0.625 0.373
Mn2 0.501 0.124 0.373
Co1 0.496 0.376 0.628
Co2 0.497 0.878 0.633
Co3 0.507 0.626 0.886
Co4 0.508 0.125 0.886
Co5 0.508 0.377 0.127
O1 0.258 0.312 0.943
O2 0.264 0.555 0.684
O3 0.268 0.068 0.680
O4 0.270 0.816 0.929
O5 0.274 0.318 0.431
O6 0.274 0.819 0.429
O7 0.291 0.082 0.202
O8 0.293 0.562 0.202
O9 0.708 0.676 0.557
O10 0.712 0.186 0.554
O11 0.723 0.428 0.811
O12 0.731 0.199 0.062
O13 0.733 0.931 0.327
O14 0.736 0.667 0.062
O15 0.737 0.433 0.327
O16 0.739 0.931 0.807
```

Principal peaks in the range 2θ from 15° to 90°, low angle first:
| d_spacing | two_theta | Rel. int. |
| --- | --- | --- |
| 4.820 | 18.4 | 100 |
| 2.546 | 35.2 | 16 |
| 2.470 | 36.4 | 13 |
| 2.454 | 36.6 | 12 |
| 2.127 | 42.5 | 30 |
| 2.051 | 44.2 | 27 |
| 2.038 | 44.4 | 26 |
| 1.907 | 47.7 | 9 |
| 1.476 | 63.0 | 22 |
| 1.467 | 63.4 | 7 |

***

No. 6
# LiV2F9
Theoretical powder diffraction line list, Cu Kα. Input: a PBE+U-relaxed structure.

Structural model:
```
data_LiV2F9
_space_group_name_H-M_alt 'P -1'
_space_group_IT_number 2
_cell_length_a 5.034
_cell_length_b 8.489
_cell_length_c 8.919
_cell_angle_alpha 111.77
_cell_angle_beta 93.06
_cell_angle_gamma 100.24
loop_
_space_group_symop_operation_xyz
'x,y,z'
'-x,-y,-z'
loop_
_atom_site_label
_atom_site_fract_x
_atom_site_fract_y
_atom_site_fract_z
Li1 0.041 0.388 0.135
V1 0.314 0.256 0.756
V2 0.407 0.787 0.665
F1 0.001 0.114 0.650
F2 0.100 0.672 0.537
F3 0.210 0.460 0.776
F4 0.214 0.270 0.956
F5 0.244 0.803 0.849
F6 0.331 0.635 0.163
F7 0.336 0.310 0.283
F8 0.426 0.222 0.530
F9 0.450 0.027 0.726
```

Principal peaks in the range 2θ from 15° to 90°, low angle first:
| d_spacing | two_theta | Rel. int. |
| --- | --- | --- |
| 4.912 | 18.1 | 42 |
| 4.481 | 19.8 | 35 |
| 4.106 | 21.6 | 59 |
| 3.992 | 22.3 | 64 |
| 3.851 | 23.1 | 100 |
| 3.468 | 25.7 | 57 |
| 3.307 | 27.0 | 20 |
| 2.967 | 30.1 | 25 |
| 2.076 | 43.6 | 43 |
| 2.048 | 44.2 | 30 |

***

No. 7
# Li2VP2O7
Theoretical powder diffraction line list, Cu Kα. Input: a PBE+U-relaxed structure.

Structural model:
```
data_Li2VP2O7
_space_group_name_H-M_alt 'P -1'
_space_group_IT_number 2
_cell_length_a 5.040
_cell_length_b 6.970
_cell_length_c 8.416
_cell_angle_alpha 67.01
_cell_angle_beta 87.92
_cell_angle_gamma 88.12
loop_
_space_group_symop_operation_xyz
'x,y,z'
'-x,-y,-z'
loop_
_atom_site_label
_atom_site_fract_x
_atom_site_fract_y
_atom_site_fract_z
Li1 0.211 0.166 0.498
Li2 0.271 0.201 0.940
V1 0.256 0.777 0.777
P1 0.220 0.550 0.194
P2 0.278 0.884 0.321
O1 0.072 0.479 0.833
O2 0.106 0.041 0.179
O3 0.197 0.876 0.501
O4 0.215 0.651 0.340
O5 0.362 0.709 0.035
O6 0.373 0.344 0.280
O7 0.421 0.085 0.719
```

Principal peaks in the range 2θ from 15° to 90°, low angle first:
| d_spacing | two_theta | Rel. int. |
| --- | --- | --- |
| 4.001 | 22.2 | 58 |
| 3.922 | 22.7 | 95 |
| 3.873 | 23.0 | 100 |
| 2.910 | 30.7 | 45 |
| 2.820 | 31.7 | 20 |
| 2.803 | 31.9 | 20 |
| 2.518 | 35.7 | 39 |
| 2.335 | 38.6 | 19 |
| 2.320 | 38.8 | 24 |
| 2.305 | 39.1 | 35 |

***

No. 8
# MgCo6O8F4
Theoretical powder diffraction line list, Cu Kα. Input: a PBE+U-relaxed structure.

Structural model:
```
data_MgCo6O8F4
_space_group_name_H-M_alt 'P 1'
_space_group_IT_number 1
_cell_length_a 5.721
_cell_length_b 5.864
_cell_length_c 7.606
_cell_angle_alpha 105.26
_cell_angle_beta 98.32
_cell_angle_gamma 116.20
loop_
_space_group_symop_operation_xyz
'x,y,z'
loop_
_atom_site_label
_atom_site_fract_x
_atom_site_fract_y
_atom_site_fract_z
Mg1 0.000 0.000 0.000
Co1 0.284 0.573 0.382
Co2 0.358 0.926 0.788
Co3 0.619 0.004 0.170
Co4 0.650 0.436 0.620
Co5 0.983 0.476 0.984
Co6 0.983 0.992 0.502
O1 0.016 0.682 0.819
O2 0.196 0.806 0.527
O3 0.281 0.318 0.509
O4 0.324 0.700 0.171
O5 0.574 0.839 0.914
O6 0.624 0.267 0.806
O7 0.665 0.691 0.502
O8 0.946 0.301 0.168
F1 0.062 0.178 0.807
F2 0.392 0.175 0.115
F3 0.737 0.179 0.455
F4 0.892 0.837 0.202
```

Principal peaks in the range 2θ from 15° to 90°, low angle first:
| d_spacing | two_theta | Rel. int. |
| --- | --- | --- |
| 4.900 | 18.1 | 22 |
| 3.895 | 22.8 | 100 |
| 3.060 | 29.2 | 87 |
| 2.829 | 31.6 | 18 |
| 2.761 | 32.4 | 20 |
| 2.534 | 35.4 | 32 |
| 2.509 | 35.8 | 53 |
| 2.492 | 36.0 | 23 |
| 1.854 | 49.1 | 25 |
| 1.472 | 63.2 | 20 |